1.
Calculated X-ray powder pattern
Compound: Te2PdCl10
Radiation: Cu Kα
Structure: a structure optimized by DFT (PBE)
Lines closer than 0.1° are merged.

Largest 10 diffraction maxima, by angle, 10 to 90 degrees two-theta:
- 2θ = 12.65°, rel. 90, (0 1 1)
- 2θ = 12.94°, rel. 49, (1 1 -1)
- 2θ = 14.07°, rel. 31, (1 1 0)
- 2θ = 17.04°, rel. 44, (1 1 1)
- 2θ = 17.72°, rel. 100, (1 0 -4)
- 2θ = 19.33°, rel. 44, (3 0 -2)
- 2θ = 24.35°, rel. 40, (1 2 -2)
- 2θ = 28.38°, rel. 37, (2 2 -4)
- 2θ = 33.61°, rel. 32, (3 0 2)
- 2θ = 35.57°, rel. 66, (5 0 -8)

Atomic structure:
a = 14.3680 Å, b = 7.7815 Å, c = 21.4739 Å
α = 90.00°, β = 131.81°, γ = 90.00°
Sites, in units of the cell vectors:
Te  0.1540  0.0983  0.2133
Te  0.1540  0.4017  0.7133
Te  0.2882  0.0686  0.0461
Te  0.2882  0.4314  0.5461
Te  0.7118  0.5686  0.4539
Te  0.7118  0.9314  0.9539
Te  0.8460  0.5983  0.2867
Te  0.8460  0.9017  0.7867
Pd  0.0346  0.7334  0.5193
Pd  0.0346  0.7666  0.0193
Pd  0.9654  0.2334  0.9807
Pd  0.9654  0.2666  0.4807
Cl  0.0094  0.7030  0.6149
Cl  0.0094  0.7970  0.1149
Cl  0.0401  0.0676  0.2548
Cl  0.0401  0.4324  0.7548
Cl  0.0609  0.7318  0.9244
Cl  0.0609  0.7682  0.4244
Cl  0.1771  0.2050  0.5858
Cl  0.1771  0.2950  0.0858
Cl  0.2416  0.1348  0.7829
Cl  0.2416  0.3652  0.2829
Cl  0.2462  0.6772  0.6235
Cl  0.2462  0.8228  0.1235
Cl  0.3258  0.5638  0.8294
Cl  0.3258  0.9362  0.3294
Cl  0.3286  0.1954  0.4969
Cl  0.3286  0.3046  0.9969
Cl  0.3858  0.6337  0.5227
Cl  0.3858  0.8663  0.0227
Cl  0.4700  0.1173  0.1851
Cl  0.4700  0.3827  0.6851
Cl  0.5300  0.6173  0.3149
Cl  0.5300  0.8827  0.8149
Cl  0.6142  0.1337  0.9773
Cl  0.6142  0.3663  0.4773
Cl  0.6714  0.6954  0.0031
Cl  0.6714  0.8046  0.5031
Cl  0.6742  0.0638  0.6706
Cl  0.6742  0.4362  0.1706
Cl  0.7538  0.1772  0.8765
Cl  0.7538  0.3228  0.3765
Cl  0.7584  0.6348  0.7171
Cl  0.7584  0.8652  0.2171
Cl  0.8229  0.7050  0.9142
Cl  0.8229  0.7950  0.4142
Cl  0.9391  0.2318  0.5756
Cl  0.9391  0.2682  0.0756
Cl  0.9599  0.5676  0.2452
Cl  0.9599  0.9324  0.7452
Cl  0.9906  0.2030  0.8851
Cl  0.9906  0.2970  0.3851


2.
Calculated X-ray powder pattern
Compound: Pr3Cl
Radiation: Cu Kα
Structure: a structure optimized by DFT (PBE)
Lines closer than 0.1° are merged.

Largest 10 diffraction maxima, by angle, 10 to 90 degrees two-theta:
- 2θ = 21.37°, rel. 17, (1 0 1)
- 2θ = 29.30°, rel. 24, (2 0 0)
- 2θ = 31.46°, rel. 26, (0 0 2)
- 2θ = 33.35°, rel. 100, (2 0 1)
- 2θ = 43.53°, rel. 16, (2 0 2)
- 2θ = 51.96°, rel. 19, (2 2 0)
- 2θ = 57.22°, rel. 21, (2 0 3)
- 2θ = 62.02°, rel. 22, (2 2 2)
- 2θ = 63.16°, rel. 15, (4 0 1)
- 2θ = 86.12°, rel. 13, (4 2 1)

Atomic structure:
a = 7.0389 Å, b = 7.0389 Å, c = 5.6875 Å
α = 90.00°, β = 90.00°, γ = 120.00°
Sites, in units of the cell vectors:
Pr  0.1685  0.3369  0.2500
Pr  0.1685  0.8315  0.2500
Pr  0.3369  0.1685  0.7500
Pr  0.6631  0.8315  0.2500
Pr  0.8315  0.1685  0.7500
Pr  0.8315  0.6631  0.7500
Cl  0.3333  0.6667  0.7500
Cl  0.6667  0.3333  0.2500